Record 1
Starting from a cell relaxed with GGA-PBE, the powder diffractogram of CsRb2CrH6 was calculated for Cu Ka.

Largest 10 diffraction maxima, low angle first, 2θ = 10–80°:
| 2θ/deg | I (rel.) |
| --- | --- |
| 27.6 | 25 |
| 27.9 | 100 |
| 28.2 | 24 |
| 39.8 | 29 |
| 48.9 | 19 |
| 49.2 | 10 |
| 49.5 | 10 |
| 49.7 | 19 |
| 57.6 | 12 |
| 65.2 | 17 |

Crystal structure
Lattice parameters (Å, degrees): 6.3349 9.0422 6.4741 90.00 90.00 90.00
Fractional coordinates of all 20 atoms:
Cs (0.2500, 0.2500, 0.2369)
Cs (0.7500, 0.7500, 0.7631)
Rb (0.2500, 0.0044, 0.7404)
Rb (0.2500, 0.4956, 0.7404)
Rb (0.7500, 0.5044, 0.2596)
Rb (0.7500, 0.9956, 0.2596)
Cr (0.2500, 0.7500, 0.2597)
Cr (0.7500, 0.2500, 0.7403)
H (0.0553, 0.7500, 0.0705)
H (0.0549, 0.7500, 0.4495)
H (0.2500, 0.5576, 0.2632)
H (0.2500, 0.9424, 0.2632)
H (0.4447, 0.7500, 0.0705)
H (0.4451, 0.7500, 0.4495)
H (0.5549, 0.2500, 0.5505)
H (0.5553, 0.2500, 0.9295)
H (0.7500, 0.0576, 0.7368)
H (0.7500, 0.4424, 0.7368)
H (0.9451, 0.2500, 0.5505)
H (0.9447, 0.2500, 0.9295)


Record 2
Starting from a cell relaxed with GGA-PBE, the powder diffractogram of CsZnCrH6 was calculated for Cu Ka.

Largest 10 diffraction maxima, low angle first, 2θ = 10–80°:
| 2θ/deg | I (rel.) |
| --- | --- |
| 21.4 | 9 |
| 26.0 | 100 |
| 29.5 | 20 |
| 37.4 | 32 |
| 46.1 | 19 |
| 48.4 | 31 |
| 50.2 | 15 |
| 60.8 | 17 |
| 74.0 | 8 |
| 76.8 | 9 |

Crystal structure
Lattice parameters (Å, degrees): 4.8054 4.8054 6.0576 90.00 90.00 120.00
Fractional coordinates of all 9 atoms:
Cs (0.0000, 0.0000, 0.0000)
Zn (0.3333, 0.6667, 0.5000)
Cr (0.6667, 0.3333, 0.5000)
H (0.5093, 0.0185, 0.3173)
H (0.5093, 0.0185, 0.6827)
H (0.5093, 0.4907, 0.3173)
H (0.5093, 0.4907, 0.6827)
H (0.9815, 0.4907, 0.3173)
H (0.9815, 0.4907, 0.6827)